Diffraction record for LiAcYPd. The powder diffractogram is calculated, not measured: it uses a structure optimized by DFT (GGA-PBE) and Cu Ka.
Kinematic intensities with the Lorentz-polarization factor, no thermal factor.

```
LiAcYPd
1.0
0.000 3.735 3.735
3.735 0.000 3.735
3.735 3.735 0.000
Li Ac Y Pd
1 1 1 1
Direct
0.000 0.000 0.000 Li
0.750 0.750 0.750 Ac
0.250 0.250 0.250 Y
0.500 0.500 0.500 Pd
```

Main lines, in order of falling intensity (2θ from 10° to 90°):
2θ/deg  intensity
33.94  100
60.74  37
20.59  34
23.82  26
40.03  20
48.76  18
81.48  16
71.43  12



Diffraction record for TaC5. The powder diffractogram is calculated, not measured: it uses a structure optimized by DFT (GGA-PBE) and Cu Ka.
Kinematic intensities with the Lorentz-polarization factor, no thermal factor.

```
TaC5
1.0
4.061 -1.360 0.000
4.061 1.360 0.000
-0.117 0.000 4.648
Ta C
1 5
Direct
0.000 0.000 0.000 Ta
0.273 0.273 0.126 C
0.342 0.342 0.426 C
0.523 0.523 0.397 C
0.620 0.620 0.649 C
0.797 0.797 0.608 C
```

Main lines, in order of falling intensity (2θ from 10° to 90°):
2θ/deg  intensity
19.09  100
21.89  89
39.84  66
29.58  53
34.78  50
28.83  45
40.12  41
47.38  29